Starting from a crystal structure in Alexandria, relaxed with GGA-PBE, the X-ray diffraction stick pattern of Cu2Ag2I7 was simulated for Cu Ka.
Neutral-atom scattering factors, no anomalous dispersion.

Crystal structure
Cell lengths 8.079, 13.645, 7.878 Å; angles 90.00, 95.01, 90.00 degrees
Space group C2/m (No. 12)
Unique sites:
Cu1 0.188 0.000 0.156 (multiplicity 4)
Ag1 0.000 0.241 0.500 (multiplicity 4)
I1 0.000 0.500 0.000 (multiplicity 2)
I2 0.149 0.000 0.811 (multiplicity 4)
I3 0.230 0.176 0.275 (multiplicity 8)

Largest 10 diffraction maxima, in order of falling intensity, 10° ≤ 2θ ≤ 80°:
| 2θ (°) | d (Å) | intensity | index |
| --- | --- | --- | --- |
| 17.2 | 5.149 | 100 | 0 2 1 |
| 24.7 | 3.598 | 41 | 1 3 -1 |
| 25.6 | 3.476 | 39 | 1 3 1 |
| 33.2 | 2.695 | 38 | 2 0 2 |
| 41.6 | 2.170 | 34 | 2 2 -3 |
| 30.4 | 2.941 | 24 | 2 0 -2 |
| 42.2 | 2.141 | 22 | 1 3 3 |
| 26.1 | 3.411 | 20 | 0 4 0 |
| 35.0 | 2.563 | 20 | 3 1 -1 |
| 34.1 | 2.632 | 18 | 3 1 0 |